Sc2CrC3: simulated PXRD pattern (copper Kα), based on a PBE-relaxed structure.
Lines closer than 0.1° are merged.

Cell and atoms:
Cell: 5.7968 14.1099 3.2781 Å, 90.00 90.00 90.00°
Element x y z (fractional)
Sc: 0.0000 0.0000 0.0000
Sc: 0.0000 0.5000 0.5000
Sc: 0.1207 0.1878 0.5000
Sc: 0.3793 0.6878 0.5000
Sc: 0.5000 0.0000 0.5000
Sc: 0.5000 0.5000 0.0000
Sc: 0.6207 0.3122 0.5000
Sc: 0.8793 0.8122 0.5000
Cr: 0.1999 0.3466 0.0000
Cr: 0.3001 0.8466 0.0000
Cr: 0.6999 0.1534 0.0000
Cr: 0.8001 0.6534 0.0000
C: 0.1082 0.7211 0.0000
C: 0.1391 0.6176 0.0000
C: 0.1822 0.9077 0.5000
C: 0.3178 0.4077 0.5000
C: 0.3609 0.1176 0.0000
C: 0.3918 0.2211 0.0000
C: 0.6082 0.7789 0.0000
C: 0.6391 0.8824 0.0000
C: 0.6822 0.5923 0.5000
C: 0.8178 0.0923 0.5000
C: 0.8609 0.3824 0.0000
C: 0.8918 0.2789 0.0000

The 6 most intense peaks (5° ≤ 2θ ≤ 70°), by angle:
| two_theta | I/Imax |
| --- | --- |
| 33.9 | 323 |
| 36.8 | 1000 |
| 38.3 | 252 |
| 40.3 | 281 |
| 40.7 | 347 |
| 55.6 | 309 |